For SrYTlCl6, a crystal structure in Alexandria, relaxed with GGA-PBE gives the simulated powder X-ray diffraction pattern in this record (λ = 1.5418 Å (Cu Kα)).
Intensities are scaled so that the largest is 100.

Top 12 peaks for 10 to 90 degrees two-theta, in order of falling intensity:
2θ 19.14, d 4.636, rel. 100.0; 2θ 36.10, d 2.488, rel. 53.7; 2θ 39.67, d 2.272, rel. 31.7; 2θ 30.99, d 2.886, rel. 27.9; 2θ 24.14, d 3.687, rel. 24.9; 2θ 42.47, d 2.128, rel. 22.8; 2θ 27.58, d 3.235, rel. 16.0; 2θ 53.50, d 1.713, rel. 14.3; 2θ 56.94, d 1.617, rel. 12.8; 2θ 55.90, d 1.645, rel. 11.8; 2θ 42.65, d 2.120, rel. 11.5; 2θ 73.55, d 1.288, rel. 11.1

Cell and atoms:
```
18
Lattice="7.3733 0.0000 0.0000 -3.6866 6.3855 0.0000 0.0000 0.0000 13.4836" Properties=species:S:1:pos:R:3 pbc="T T T"
Sr 0.0000 4.2570 3.3709
Sr 3.6867 2.1285 10.1127
Y 0.0000 4.2570 10.1127
Y 3.6867 2.1285 3.3709
Tl 0.0000 0.0000 0.0000
Tl 0.0000 0.0000 6.7418
Cl -1.2159 2.4327 8.5989
Cl -2.1879 4.1161 11.6265
Cl 1.2159 2.4327 11.6265
Cl -0.9719 6.2222 8.5989
Cl 2.7147 0.1633 1.8571
Cl 1.4988 2.2694 4.8847
Cl 2.1879 4.1161 8.5989
Cl 0.9719 6.2222 11.6265
Cl 4.6586 0.1633 4.8847
Cl 2.4707 3.9528 1.8571
Cl 5.8745 2.2694 1.8571
Cl 4.9026 3.9528 4.8847
```

=====

For SrUCl6, a crystal structure in Alexandria, relaxed with GGA-PBE gives the simulated powder X-ray diffraction pattern in this record (λ = 1.5418 Å (Cu Kα)).
Intensities are scaled so that the largest is 100.

Top 12 peaks for 10 to 90 degrees two-theta, in order of falling intensity:
2θ 17.31, d 5.121, rel. 100.0; 2θ 38.04, d 2.366, rel. 45.8; 2θ 23.59, d 3.772, rel. 41.2; 2θ 15.37, d 5.765, rel. 28.6; 2θ 29.12, d 3.067, rel. 27.5; 2θ 40.60, d 2.222, rel. 21.2; 2θ 45.02, d 2.013, rel. 20.6; 2θ 31.02, d 2.883, rel. 19.1; 2θ 43.86, d 2.064, rel. 18.7; 2θ 35.04, d 2.561, rel. 18.5; 2θ 25.54, d 3.487, rel. 15.5; 2θ 13.75, d 6.439, rel. 11.8

Cell and atoms:
```
8
Lattice="6.9699 0.0000 0.0000 3.4827 6.0448 0.0000 3.4848 2.0070 6.4395" Properties=species:S:1:pos:R:3 pbc="T T T"
Sr 0.0000 0.0000 0.0000
U 6.9687 4.0259 3.2197
Cl 4.8262 4.0041 4.7590
Cl 5.8788 5.8712 1.6866
Cl 8.0202 5.8926 4.7527
Cl 5.9172 2.1592 1.6868
Cl 8.0586 2.1807 4.7528
Cl 9.1112 4.0477 1.6804
```

=====

For Sr2ZnCl, a crystal structure in Alexandria, relaxed with GGA-PBE gives the simulated powder X-ray diffraction pattern in this record (λ = 1.5418 Å (Cu Kα)).
Intensities are scaled so that the largest is 100.

Top 12 peaks for 10 to 90 degrees two-theta, in order of falling intensity:
2θ 27.96, d 3.191, rel. 100.0; 2θ 38.09, d 2.363, rel. 42.6; 2θ 41.74, d 2.164, rel. 32.9; 2θ 62.78, d 1.480, rel. 18.5; 2θ 50.99, d 1.791, rel. 17.9; 2θ 73.78, d 1.284, rel. 11.5; 2θ 67.91, d 1.380, rel. 9.9; 2θ 44.66, d 2.029, rel. 8.8; 2θ 57.82, d 1.595, rel. 8.0; 2θ 66.29, d 1.410, rel. 7.7; 2θ 24.86, d 3.582, rel. 7.5; 2θ 10.90, d 8.116, rel. 5.7

Cell and atoms:
```
8
Lattice="7.5019 0.0000 0.0000 0.0000 4.3238 0.0000 -2.5116 0.0000 8.1157" Properties=species:S:1:pos:R:3 pbc="T T T"
Sr 1.2540 0.0000 1.9706
Sr -0.0147 2.1619 6.1451
Sr 5.0049 2.1619 1.9706
Sr 3.7363 0.0000 6.1451
Zn 0.0000 2.1619 0.0000
Zn 3.7510 0.0000 0.0000
Cl -1.2558 0.0000 4.0579
Cl 2.4951 2.1619 4.0579
```

=====

For SrZnCl4, a crystal structure in Alexandria, relaxed with GGA-PBE gives the simulated powder X-ray diffraction pattern in this record (λ = 1.5418 Å (Cu Kα)).
Intensities are scaled so that the largest is 100.

Top 12 peaks for 10 to 90 degrees two-theta, in order of falling intensity:
2θ 18.94, d 4.687, rel. 100.0; 2θ 37.54, d 2.396, rel. 70.7; 2θ 25.69, d 3.468, rel. 38.8; 2θ 46.79, d 1.942, rel. 33.0; 2θ 38.42, d 2.343, rel. 23.7; 2θ 30.65, d 2.917, rel. 18.8; 2θ 29.06, d 3.073, rel. 16.2; 2θ 48.80, d 1.866, rel. 12.6; 2θ 54.77, d 1.676, rel. 12.2; 2θ 62.08, d 1.495, rel. 12.0; 2θ 63.75, d 1.460, rel. 10.9; 2θ 34.42, d 2.606, rel. 10.2

Cell and atoms:
```
12
Lattice="-4.6865 4.6865 4.0692 4.6865 -4.6865 4.0692 4.6865 4.6865 -4.0692" Properties=species:S:1:pos:R:3 pbc="T T T"
Sr 4.6865 2.3433 1.0173
Sr 0.0000 2.3433 3.0519
Zn 4.6865 -2.3433 3.0519
Zn 0.0000 7.0298 1.0173
Cl 4.6865 -0.6237 1.5432
Cl 4.6865 4.0628 -1.5432
Cl 1.7195 2.3433 0.4914
Cl 2.9670 -2.3433 4.5606
Cl 1.7195 7.0298 -0.4914
Cl 2.9670 2.3433 3.5778
Cl 0.0000 0.6237 5.6124
Cl 0.0000 5.3102 2.5260
```

=====

For Ta2Cl3, a crystal structure in Alexandria, relaxed with GGA-PBE gives the simulated powder X-ray diffraction pattern in this record (λ = 1.5418 Å (Cu Kα)).
Intensities are scaled so that the largest is 100.

Top 12 peaks for 10 to 90 degrees two-theta, in order of falling intensity:
2θ 35.80, d 2.509, rel. 100.0; 2θ 14.85, d 5.966, rel. 81.7; 2θ 42.14, d 2.144, rel. 46.0; 2θ 33.55, d 2.671, rel. 33.4; 2θ 22.35, d 3.977, rel. 29.4; 2θ 47.35, d 1.920, rel. 28.7; 2θ 34.97, d 2.566, rel. 28.2; 2θ 39.20, d 2.298, rel. 27.1; 2θ 59.81, d 1.546, rel. 24.4; 2θ 78.33, d 1.221, rel. 17.1; 2θ 49.27, d 1.849, rel. 16.3; 2θ 45.62, d 1.989, rel. 14.2

Cell and atoms:
```
15
Lattice="3.0927 0.0000 0.0000 -1.5464 2.6784 0.0000 0.0000 0.0000 35.7944" Properties=species:S:1:pos:R:3 pbc="T T T"
Ta 0.0000 0.0000 3.7974
Ta 0.0000 0.0000 31.9970
Ta 0.0000 1.7856 20.0655
Ta 0.0000 1.7856 27.6604
Ta 1.5464 0.8928 8.1340
Ta 1.5464 0.8928 15.7289
Cl 0.0000 0.0000 9.8998
Cl 0.0000 0.0000 17.8972
Cl 0.0000 0.0000 25.8946
Cl 0.0000 1.7856 5.9657
Cl 0.0000 1.7856 13.9632
Cl 0.0000 1.7856 33.7627
Cl 1.5464 0.8928 2.0317
Cl 1.5464 0.8928 21.8312
Cl 1.5464 0.8928 29.8286
```

=====

For TaCl, a crystal structure in Alexandria, relaxed with GGA-PBE gives the simulated powder X-ray diffraction pattern in this record (λ = 1.5418 Å (Cu Kα)).
Intensities are scaled so that the largest is 100.

Top 12 peaks for 10 to 90 degrees two-theta, in order of falling intensity:
2θ 35.67, d 2.517, rel. 100.0; 2θ 38.44, d 2.342, rel. 72.5; 2θ 40.94, d 2.204, rel. 56.7; 2θ 34.44, d 2.604, rel. 44.7; 2θ 33.99, d 2.638, rel. 38.9; 2θ 47.32, d 1.921, rel. 34.2; 2θ 44.63, d 2.030, rel. 30.4; 2θ 37.42, d 2.403, rel. 30.0; 2θ 34.27, d 2.617, rel. 30.0; 2θ 55.94, d 1.644, rel. 18.8; 2θ 55.08, d 1.667, rel. 17.0; 2θ 66.53, d 1.406, rel. 16.4

Cell and atoms:
```
4
Lattice="3.1180 0.0000 0.0000 1.3354 2.8185 0.0000 1.2707 0.7818 9.6123" Properties=species:S:1:pos:R:3 pbc="T T T"
Ta 1.0558 0.6841 1.0988
Ta 4.6683 2.9162 8.5135
Cl 1.6956 1.0620 6.7328
Cl 4.0285 2.5383 2.8795
```

=====

For Ta3Cl, a crystal structure in Alexandria, relaxed with GGA-PBE gives the simulated powder X-ray diffraction pattern in this record (λ = 1.5418 Å (Cu Kα)).
Intensities are scaled so that the largest is 100.

Top 12 peaks for 10 to 90 degrees two-theta, in order of falling intensity:
2θ 38.69, d 2.327, rel. 100.0; 2θ 36.26, d 2.477, rel. 29.9; 2θ 40.33, d 2.236, rel. 22.2; 2θ 66.85, d 1.400, rel. 20.1; 2θ 55.35, d 1.660, rel. 17.7; 2θ 72.24, d 1.308, rel. 16.0; 2θ 82.99, d 1.164, rel. 11.2; 2θ 34.40, d 2.607, rel. 9.3; 2θ 68.92, d 1.362, rel. 9.2; 2θ 56.40, d 1.631, rel. 8.4; 2θ 71.60, d 1.318, rel. 8.2; 2θ 19.85, d 4.472, rel. 8.0

Cell and atoms:
```
8
Lattice="3.2627 0.0000 0.0000 0.0000 4.9548 0.0000 0.0000 0.0000 8.9445" Properties=species:S:1:pos:R:3 pbc="T T T"
Ta 0.0000 0.0000 0.0000
Ta 0.0000 2.4774 2.2581
Ta 0.0000 2.4774 6.6865
Ta 1.6314 0.0000 2.2581
Ta 1.6314 0.0000 6.6865
Ta 1.6314 2.4774 0.0000
Cl 0.0000 0.0000 4.4723
Cl 1.6314 2.4774 4.4723
```